# Pm3Sn8Rh3
Calculated PXRD pattern, Cu Kα (weighted mean of Kα1 and Kα2). Input: a cell relaxed with PBE.

Top 8 peaks for 10 to 90 degrees two-theta, by angle:
29.97 deg, 2.982 Å, I 30
30.10 deg, 2.969 Å, I 94
31.59 deg, 2.832 Å, I 28
32.44 deg, 2.760 Å, I 100
36.22 deg, 2.480 Å, I 40
37.27 deg, 2.412 Å, I 34
40.55 deg, 2.224 Å, I 64
55.49 deg, 1.656 Å, I 27

Cell and atoms:
```
data_Pm3Sn8Rh3
_cell_length_a 19.952
_cell_length_b 4.449
_cell_length_c 8.614
_cell_angle_alpha 90.00
_cell_angle_beta 115.03
_cell_angle_gamma 90.00
_symmetry_space_group_name_H-M 'C 1 2/m 1'
_symmetry_Int_Tables_number 12
_symmetry_space_group_name_Hall '-C 2y'
loop_
_atom_site_label
_atom_site_type_symbol
_atom_site_fract_x
_atom_site_fract_y
_atom_site_fract_z
Pm1 Pm 0.000 0.000 0.000
Pm2 Pm 0.246 0.000 0.301
Sn1 Sn 0.035 0.500 0.706
Sn2 Sn 0.120 0.500 0.250
Sn3 Sn 0.126 0.000 0.479
Sn4 Sn 0.187 0.000 0.876
Rh1 Rh 0.000 0.000 0.500
Rh2 Rh 0.157 0.500 0.994
```